The following is a theoretical PXRD pattern of Ti2FeO5. It was derived from a DFT-relaxed cell (PBE+U, the Materials Project), using a wavelength of 1.5418 Å.

Atomic structure:
a b c (Å): 5.306 10.160 10.714
angles (deg): 90.00 96.36 90.00
Positions (direct):
Ti 0.059 0.000 0.288
Ti 0.060 0.379 0.291
Ti 0.182 0.188 0.066
Ti 0.272 0.875 0.041
Ti 0.392 0.371 0.624
Ti 0.396 0.004 0.622
Ti 0.604 0.504 0.378
Ti 0.608 0.871 0.376
Ti 0.728 0.375 0.959
Ti 0.818 0.688 0.934
Ti 0.940 0.879 0.709
Ti 0.941 0.500 0.712
Fe 0.159 0.687 0.270
Fe 0.272 0.508 0.047
Fe 0.481 0.688 0.604
Fe 0.519 0.188 0.396
Fe 0.728 0.008 0.953
Fe 0.841 0.187 0.730
O 0.004 0.509 0.889
O 0.017 0.870 0.893
O 0.088 0.327 0.684
O 0.088 0.700 0.067
O 0.098 0.051 0.687
O 0.206 0.193 0.250
O 0.230 0.827 0.644
O 0.231 0.552 0.651
O 0.308 0.376 0.440
O 0.322 0.999 0.432
O 0.357 0.502 0.240
O 0.366 0.870 0.224
O 0.397 0.052 0.016
O 0.440 0.309 0.019
O 0.492 0.691 0.406
O 0.508 0.191 0.594
O 0.560 0.809 0.981
O 0.603 0.552 0.984
O 0.634 0.370 0.776
O 0.643 0.002 0.760
O 0.678 0.499 0.568
O 0.692 0.876 0.560
O 0.769 0.052 0.349
O 0.770 0.327 0.356
O 0.794 0.693 0.750
O 0.902 0.551 0.313
O 0.912 0.200 0.933
O 0.912 0.827 0.316
O 0.983 0.370 0.107
O 0.996 0.009 0.111

Main lines, in order of falling intensity (5° ≤ 2θ ≤ 70°):
| 2θ/deg | I_rel | h k l |
| --- | --- | --- |
| 25.08 | 100 | 0 0 3 |
| 32.02 | 69 | 1 3 -1 |
| 17.92 | 39 | 1 0 -1 |
| 47.80 | 31 | 1 0 5 |
| 36.66 | 26 | 1 3 2 |
| 58.69 | 25 | 2 3 4 |